# 1
Calculated X-ray diffraction stick pattern of AcDyNi4 for Cu Kα (weighted mean of Kα1 and Kα2), from DFT lattice parameters and positions (PBE).
Lines closer than 0.1° are merged.

Cell and atoms:
```
AcDyNi4
1.0
5.1869 0.0000 0.0000
-2.5935 4.4920 0.0000
0.0000 0.0000 8.6918
Ac Dy Ni
2 2 8
Cartesian
0.0000 2.9947 0.7099
2.5935 1.4973 7.9819
0.0000 2.9947 3.9141
2.5935 1.4973 4.7778
0.0000 0.0000 0.0000
0.0000 0.0000 4.3459
0.0000 1.4718 6.3762
-1.3189 3.7561 6.3762
1.2746 0.7359 2.3156
1.3189 3.7561 6.3762
3.9123 0.7359 2.3156
2.5935 3.0202 2.3156
```

Principal peaks in the range 10 to 80 degrees two-theta, sorted by position:
d/Å	2theta	Rel. int.
3.123	28.6	26
2.593	34.6	67
2.435	36.9	100
2.227	40.5	84
2.174	41.5	55
1.465	63.5	43

---

# 2
Calculated X-ray diffraction stick pattern of AcDyPu2O8 for Cu Kα (weighted mean of Kα1 and Kα2), from DFT lattice parameters and positions (PBE).
Lines closer than 0.1° are merged.

Cell and atoms:
```
AcDyPu2O8
1.0
-2.7533 2.7533 5.4075
2.7533 -2.7533 5.4075
2.7533 2.7533 -5.4075
Ac Dy Pu O
1 1 2 8
Cartesian
0.0000 0.0000 0.0000
0.0000 2.7533 2.7037
2.7533 0.0000 2.7037
0.0000 0.0000 5.4075
1.4310 1.5002 -1.3908
1.3222 -1.2531 4.0167
1.5002 1.4310 1.3908
4.0063 1.4310 1.3908
1.4310 4.0063 -1.3908
1.3222 1.2531 4.0167
-1.2531 1.3222 6.7983
1.2531 1.3222 6.7983
```

Principal peaks in the range 10 to 80 degrees two-theta, sorted by position:
d/Å	2theta	Rel. int.
3.160	28.2	100
2.753	32.5	25
1.947	46.7	17
1.929	47.1	33
1.657	55.4	32
1.636	56.2	15

---

# 3
Calculated X-ray diffraction stick pattern of AcDyTc2O8 for Cu Kα (weighted mean of Kα1 and Kα2), from DFT lattice parameters and positions (PBE).
Lines closer than 0.1° are merged.

Cell and atoms:
```
AcDyTc2O8
1.0
5.9083 0.0000 0.0000
-2.9542 5.1168 0.0000
0.0000 0.0000 7.2531
Ac Dy Tc O
1 1 2 8
Cartesian
0.0000 0.0000 0.0000
0.0000 0.0000 3.6265
0.0000 3.4112 5.6925
2.9542 1.7056 1.5606
0.0000 1.6198 5.1972
-1.5514 4.3068 5.1972
1.4028 0.8099 2.0559
0.0000 3.4112 0.2391
2.9542 1.7056 7.0140
1.5514 4.3068 5.1972
4.5055 0.8099 2.0559
2.9542 3.4969 2.0559
```

Principal peaks in the range 10 to 80 degrees two-theta, sorted by position:
d/Å	2theta	Rel. int.
5.117	17.3	42
4.181	21.3	25
2.957	30.2	100
2.091	43.3	27
1.707	53.7	30
1.322	71.3	15

---

# 4
Calculated X-ray diffraction stick pattern of AcDy2UO8 for Cu Kα (weighted mean of Kα1 and Kα2), from DFT lattice parameters and positions (PBE).
Lines closer than 0.1° are merged.

Cell and atoms:
```
AcDy2UO8
1.0
3.9526 0.0000 0.0000
0.0000 5.3864 0.0000
0.0000 0.0000 7.8196
Ac Dy U O
1 2 1 8
Cartesian
0.0000 0.0000 0.0000
1.9763 2.6932 2.1129
1.9763 2.6932 5.7067
0.0000 0.0000 3.9098
0.0000 1.3192 2.2205
0.0000 1.3192 5.5991
0.0000 4.0672 2.2205
0.0000 4.0672 5.5991
1.9763 1.2479 3.9098
1.9763 1.5533 0.0000
1.9763 3.8331 0.0000
1.9763 4.1385 3.9098
```

Principal peaks in the range 10 to 80 degrees two-theta, sorted by position:
d/Å	2theta	Rel. int.
3.187	28.0	100
3.164	28.2	92
2.780	32.2	46
1.934	47.0	62
1.676	54.8	30
1.666	55.1	28

---

# 5
Calculated X-ray diffraction stick pattern of Ac4DyP5 for Cu Kα (weighted mean of Kα1 and Kα2), from DFT lattice parameters and positions (PBE).
Lines closer than 0.1° are merged.

Cell and atoms:
```
Ac4DyP5
1.0
-2.1922 2.1922 15.4205
2.1922 -2.1922 15.4205
2.1922 2.1922 -15.4205
Ac Dy P
4 1 5
Cartesian
0.0000 0.0000 2.9843
0.0000 0.0000 9.2978
0.0000 0.0000 21.5433
0.0000 0.0000 27.8568
0.0000 0.0000 15.4205
0.0000 0.0000 0.0000
0.0000 0.0000 6.1503
0.0000 0.0000 12.5164
0.0000 0.0000 18.3247
0.0000 0.0000 24.6908
```

Principal peaks in the range 10 to 80 degrees two-theta, sorted by position:
d/Å	2theta	Rel. int.
3.574	24.9	100
3.100	28.8	66
3.084	29.0	32
2.186	41.3	49
1.869	48.7	35
1.787	51.1	26

---

# 6
Calculated X-ray diffraction stick pattern of Ac3Dy2PaP6 for Cu Kα (weighted mean of Kα1 and Kα2), from DFT lattice parameters and positions (PBE).
Lines closer than 0.1° are merged.

Cell and atoms:
```
Ac3Dy2PaP6
1.0
3.6232 -6.2749 0.0000
3.6232 6.2749 0.0000
-2.4110 0.0000 6.9478
Ac Dy Pa P
3 2 1 6
Cartesian
0.0000 0.0000 0.0000
3.6232 2.1163 0.0000
3.6232 -2.1163 0.0000
2.4177 4.1897 3.4739
2.4177 -4.1897 3.4739
2.4177 0.0000 3.4739
1.2364 2.0460 1.9399
0.0596 0.0000 5.0145
1.2364 -2.0460 1.9399
3.5991 2.0460 5.0078
4.7758 0.0000 1.9332
3.5991 -2.0460 5.0078
```

Principal peaks in the range 10 to 80 degrees two-theta, sorted by position:
d/Å	2theta	Rel. int.
3.474	25.6	27
3.422	26.0	76
2.975	30.0	100
2.115	42.7	38
2.092	43.3	37
1.792	51.0	27

---

# 7
Calculated X-ray diffraction stick pattern of Ac3DyPb12 for Cu Kα (weighted mean of Kα1 and Kα2), from DFT lattice parameters and positions (PBE).
Lines closer than 0.1° are merged.

Cell and atoms:
```
Ac3DyPb12
1.0
5.0443 0.0000 0.0000
0.0000 5.0443 0.0000
0.0000 0.0000 19.8791
Ac Dy Pb
3 1 12
Cartesian
0.0000 0.0000 0.0000
0.0000 0.0000 5.0881
0.0000 0.0000 14.7910
0.0000 0.0000 9.9396
0.0000 2.5221 2.5434
0.0000 2.5221 7.6293
0.0000 2.5221 12.2498
0.0000 2.5221 17.3357
2.5221 0.0000 2.5434
2.5221 0.0000 7.6293
2.5221 0.0000 12.2498
2.5221 0.0000 17.3357
2.5221 2.5221 0.0000
2.5221 2.5221 5.0691
2.5221 2.5221 9.9396
2.5221 2.5221 14.8100
```

Principal peaks in the range 10 to 80 degrees two-theta, sorted by position:
d/Å	2theta	Rel. int.
2.898	30.9	100
2.522	35.6	35
2.485	36.1	16
1.783	51.2	13
1.770	51.6	23
1.519	61.0	30

---

# 8
Calculated X-ray diffraction stick pattern of AcDyPb for Cu Kα (weighted mean of Kα1 and Kα2), from DFT lattice parameters and positions (PBE).
Lines closer than 0.1° are merged.

Cell and atoms:
```
AcDyPb
1.0
4.8548 0.0000 0.0000
0.0000 4.8548 0.0000
0.0000 0.0000 8.9721
Ac Dy Pb
2 2 2
Cartesian
1.2137 1.2137 1.3360
3.6411 3.6411 7.6362
1.2137 3.6411 4.4861
3.6411 1.2137 4.4861
1.2137 1.2137 6.7253
3.6411 3.6411 2.2469
```

Principal peaks in the range 10 to 80 degrees two-theta, sorted by position:
d/Å	2theta	Rel. int.
3.433	26.0	34
3.295	27.1	39
3.206	27.8	70
2.726	32.9	100
2.546	35.2	35
2.427	37.0	67

---

# 9
Calculated X-ray diffraction stick pattern of Ac3DyPb3 for Cu Kα (weighted mean of Kα1 and Kα2), from DFT lattice parameters and positions (PBE).
Lines closer than 0.1° are merged.

Cell and atoms:
```
Ac3DyPb3
1.0
4.6053 -6.9051 0.0000
4.6053 6.9051 0.0000
-0.6773 0.0000 8.7420
Ac Dy Pb
6 2 6
Cartesian
4.6053 4.6618 0.0000
4.2666 3.6592 4.3710
3.5169 0.0000 1.4099
5.0164 0.0000 7.3321
4.2666 -3.6592 4.3710
4.6053 -4.6618 0.0000
1.8173 0.0000 5.2118
6.7160 0.0000 3.5303
0.4335 0.0000 2.5276
2.3154 2.4059 6.9499
2.3154 -2.4059 6.9499
6.2179 2.4059 1.7922
6.2179 -2.4059 1.7922
8.0998 0.0000 6.2145
```

Principal peaks in the range 10 to 80 degrees two-theta, sorted by position:
d/Å	2theta	Rel. int.
3.675	24.2	91
3.423	26.0	34
2.974	30.0	100
2.946	30.3	84
2.895	30.9	50
2.019	44.9	31

---

# 10
Calculated X-ray diffraction stick pattern of Ac3Dy2Pb3 for Cu Kα (weighted mean of Kα1 and Kα2), from DFT lattice parameters and positions (PBE).
Lines closer than 0.1° are merged.

Cell and atoms:
```
Ac3Dy2Pb3
1.0
9.6902 0.0000 0.0000
-4.8451 8.3920 0.0000
0.0000 0.0000 6.9251
Ac Dy Pb
6 4 6
Cartesian
-1.1883 2.0581 1.7313
-3.6569 6.3339 5.1938
2.3765 0.0000 1.7313
1.1883 2.0581 5.1938
7.3137 0.0000 5.1938
3.6569 6.3339 1.7313
0.0000 5.5947 0.0000
0.0000 5.5947 3.4625
4.8451 2.7973 0.0000
4.8451 2.7973 3.4625
-1.9432 3.3657 5.1938
-2.9019 5.0263 1.7313
3.8864 0.0000 5.1938
1.9432 3.3657 1.7313
5.8038 0.0000 1.7313
2.9019 5.0263 5.1938
```

Principal peaks in the range 10 to 80 degrees two-theta, sorted by position:
d/Å	2theta	Rel. int.
3.463	25.7	23
3.172	28.1	23
2.884	31.0	100
2.817	31.8	57
2.797	32.0	30
1.866	48.8	29

---

# 11
Calculated X-ray diffraction stick pattern of AcDySb2Pd5 for Cu Kα (weighted mean of Kα1 and Kα2), from DFT lattice parameters and positions (PBE).
Lines closer than 0.1° are merged.

Cell and atoms:
```
AcDySb2Pd5
1.0
5.0277 0.0000 0.0000
0.0000 5.0277 0.0000
0.0000 0.0000 8.8038
Ac Dy Sb Pd
1 1 2 5
Cartesian
0.0000 0.0000 0.0000
0.0000 0.0000 4.4019
2.5139 2.5139 2.5403
2.5139 2.5139 6.2635
0.0000 2.5139 2.8941
0.0000 2.5139 5.9097
2.5139 0.0000 2.8941
2.5139 0.0000 5.9097
2.5139 2.5139 0.0000
```

Principal peaks in the range 10 to 80 degrees two-theta, sorted by position:
d/Å	2theta	Rel. int.
3.312	26.9	73
2.766	32.4	51
2.514	35.7	100
2.002	45.3	36
1.909	47.6	38
1.871	48.7	39

---

# 12
Calculated X-ray diffraction stick pattern of Ac8Pm3Dy for Cu Kα (weighted mean of Kα1 and Kα2), from DFT lattice parameters and positions (PBE).
Lines closer than 0.1° are merged.

Cell and atoms:
```
Ac8Pm3Dy
1.0
-5.9089 6.2380 3.3708
5.9089 -6.2380 3.3708
5.9089 6.2380 -3.3708
Ac Pm Dy
8 3 1
Cartesian
3.9898 0.0000 1.0321
7.8281 0.0000 1.0321
1.9073 3.1019 0.0000
4.0016 -3.1361 3.3708
3.9944 6.2380 1.0152
1.9146 0.0000 4.3860
1.9073 9.3741 0.0000
4.0016 3.1361 3.3708
5.9089 3.1288 -0.1156
0.0000 6.2380 1.1257
0.0000 3.1092 3.2552
0.0000 0.0000 1.1058
```

Principal peaks in the range 10 to 80 degrees two-theta, sorted by position:
d/Å	2theta	Rel. int.
3.401	26.2	21
3.119	28.6	37
2.986	29.9	100
2.966	30.1	45
1.774	51.5	23
1.655	55.5	23

---

Please write out number 3 again, unchanged.
Calculated X-ray diffraction stick pattern of AcDyTc2O8 for Cu Kα (weighted mean of Kα1 and Kα2), from DFT lattice parameters and positions (PBE).
Lines closer than 0.1° are merged.

Cell and atoms:
```
AcDyTc2O8
1.0
5.9083 0.0000 0.0000
-2.9542 5.1168 0.0000
0.0000 0.0000 7.2531
Ac Dy Tc O
1 1 2 8
Cartesian
0.0000 0.0000 0.0000
0.0000 0.0000 3.6265
0.0000 3.4112 5.6925
2.9542 1.7056 1.5606
0.0000 1.6198 5.1972
-1.5514 4.3068 5.1972
1.4028 0.8099 2.0559
0.0000 3.4112 0.2391
2.9542 1.7056 7.0140
1.5514 4.3068 5.1972
4.5055 0.8099 2.0559
2.9542 3.4969 2.0559
```

Principal peaks in the range 10 to 80 degrees two-theta, sorted by position:
d/Å	2theta	Rel. int.
5.117	17.3	42
4.181	21.3	25
2.957	30.2	100
2.091	43.3	27
1.707	53.7	30
1.322	71.3	15